This entry pairs a crystal structure of Na2Er2B2O7 with its computed X-ray diffraction stick pattern. Radiation: copper Kα. Structure: a DFT-relaxed cell (GGA-PBE, OQMD).
Lines closer than 0.1° are merged.

Cell lengths 10.505, 6.158, 10.118 Å; angles 90.00, 117.81, 90.00 degrees
Positions (direct):
Na  0.026  0.058  0.265
Na  0.026  0.442  0.765
Na  0.112  0.741  0.049
Na  0.112  0.759  0.549
Na  0.888  0.241  0.451
Na  0.888  0.259  0.951
Na  0.974  0.558  0.235
Na  0.974  0.942  0.735
Er  0.317  0.082  0.913
Er  0.317  0.418  0.413
Er  0.484  0.538  0.183
Er  0.484  0.962  0.683
Er  0.516  0.038  0.317
Er  0.516  0.462  0.817
Er  0.683  0.582  0.587
Er  0.683  0.918  0.087
B  0.184  0.249  0.581
B  0.184  0.251  0.081
B  0.293  0.654  0.852
B  0.293  0.846  0.352
B  0.707  0.154  0.648
B  0.707  0.346  0.148
B  0.816  0.749  0.919
B  0.816  0.751  0.419
O  0.101  0.159  0.944
O  0.101  0.341  0.444
O  0.131  0.145  0.665
O  0.131  0.355  0.165
O  0.183  0.747  0.866
O  0.183  0.753  0.366
O  0.334  0.236  0.134
O  0.334  0.264  0.634
O  0.351  0.740  0.270
O  0.351  0.760  0.770
O  0.352  0.045  0.414
O  0.352  0.455  0.914
O  0.473  0.626  0.595
O  0.473  0.874  0.095
O  0.527  0.126  0.905
O  0.527  0.374  0.405
O  0.648  0.545  0.086
O  0.648  0.955  0.586
O  0.649  0.240  0.230
O  0.649  0.260  0.730
O  0.666  0.736  0.366
O  0.666  0.764  0.866
O  0.817  0.247  0.634
O  0.817  0.253  0.134
O  0.869  0.645  0.835
O  0.869  0.855  0.335
O  0.899  0.659  0.556
O  0.899  0.841  0.056

Most intense lines, 2θ = 10–90°, in order of rising 2θ:
- 2θ 25.82, I = 32
- 2θ 26.26, I = 39
- 2θ 29.30, I = 45
- 2θ 30.55, I = 100
- 2θ 30.70, I = 69
- 2θ 33.67, I = 33
- 2θ 33.76, I = 43
- 2θ 34.20, I = 45

---

This entry pairs a crystal structure of LaHoNi8B2 with its computed X-ray diffraction stick pattern. Radiation: copper Kα. Structure: a DFT-relaxed cell (GGA-PBE, OQMD).
Lines closer than 0.1° are merged.

Cell lengths 5.027, 5.027, 7.023 Å; angles 90.00, 90.00, 120.00 degrees
Positions (direct):
La  0.000  0.000  0.000
Ho  0.000  0.000  0.500
Ni  0.000  0.500  0.297
Ni  0.000  0.500  0.703
Ni  0.333  0.667  0.000
Ni  0.500  0.000  0.297
Ni  0.500  0.000  0.703
Ni  0.500  0.500  0.297
Ni  0.500  0.500  0.703
Ni  0.667  0.333  0.000
B  0.333  0.667  0.500
B  0.667  0.333  0.500

Most intense lines, 2θ = 10–90°, in order of rising 2θ:
- 2θ 32.76, I = 85
- 2θ 35.72, I = 30
- 2θ 41.48, I = 76
- 2θ 44.32, I = 100
- 2θ 62.31, I = 27
- 2θ 64.77, I = 16
- 2θ 70.17, I = 24
- 2θ 75.67, I = 22

---

This entry pairs a crystal structure of Pa2Se4I with its computed X-ray diffraction stick pattern. Radiation: copper Kα. Structure: a DFT-relaxed cell (GGA-PBE, OQMD).
Lines closer than 0.1° are merged.

Cell lengths 8.972, 8.972, 8.972 Å; angles 125.09, 75.25, 132.82 degrees
Positions (direct):
Pa  0.000  0.000  0.000
Pa  0.000  0.500  0.500
Pa  0.215  0.162  0.553
Pa  0.609  0.662  0.447
Se  0.275  0.027  0.748
Se  0.279  0.527  0.252
Se  0.327  0.148  0.218
Se  0.327  0.609  0.679
Se  0.664  0.521  0.643
Se  0.878  0.021  0.357
Se  0.930  0.109  0.782
Se  0.930  0.648  0.321
I  0.650  0.023  0.127
I  0.896  0.523  0.873

Most intense lines, 2θ = 10–90°, in order of rising 2θ:
- 2θ 12.38, I = 86
- 2θ 13.82, I = 77
- 2θ 25.63, I = 90
- 2θ 33.05, I = 88
- 2θ 33.92, I = 52
- 2θ 35.44, I = 86
- 2θ 40.51, I = 100
- 2θ 62.50, I = 55

---

This entry pairs a crystal structure of NbIn2CuSe4 with its computed X-ray diffraction stick pattern. Radiation: copper Kα. Structure: a DFT-relaxed cell (GGA-PBE, OQMD).
Lines closer than 0.1° are merged.

Cell lengths 13.577, 12.119, 7.355 Å; angles 84.65, 62.71, 32.64 degrees
Positions (direct):
Nb  0.125  0.125  0.125
Nb  0.875  0.875  0.875
In  0.054  0.054  0.696
In  0.304  0.304  0.946
In  0.696  0.696  0.054
In  0.946  0.946  0.304
Cu  0.375  0.375  0.375
Cu  0.625  0.625  0.625
Se  0.046  0.323  0.413
Se  0.281  0.587  0.677
Se  0.323  0.046  0.719
Se  0.413  0.719  0.046
Se  0.587  0.281  0.954
Se  0.677  0.954  0.281
Se  0.719  0.413  0.323
Se  0.954  0.677  0.587

Most intense lines, 2θ = 10–90°, in order of rising 2θ:
- 2θ 15.07, I = 33
- 2θ 25.35, I = 30
- 2θ 26.26, I = 58
- 2θ 27.56, I = 100
- 2θ 31.54, I = 83
- 2θ 38.75, I = 59
- 2θ 46.44, I = 28
- 2θ 51.44, I = 30

---

This entry pairs a crystal structure of Nb2ZnO6 with its computed X-ray diffraction stick pattern. Radiation: copper Kα. Structure: a DFT-relaxed cell (GGA-PBE, OQMD).
Lines closer than 0.1° are merged.

Cell lengths 14.242, 5.748, 5.043 Å; angles 90.00, 90.00, 90.00 degrees
Positions (direct):
Nb  0.160  0.185  0.250
Nb  0.160  0.815  0.750
Nb  0.340  0.315  0.750
Nb  0.340  0.685  0.250
Nb  0.660  0.315  0.750
Nb  0.660  0.685  0.250
Nb  0.840  0.185  0.250
Nb  0.840  0.815  0.750
Zn  0.000  0.329  0.750
Zn  0.000  0.671  0.250
Zn  0.500  0.171  0.250
Zn  0.500  0.829  0.750
O  0.079  0.387  0.085
O  0.079  0.613  0.585
O  0.094  0.104  0.575
O  0.094  0.896  0.075
O  0.245  0.121  0.923
O  0.245  0.879  0.423
O  0.255  0.379  0.423
O  0.255  0.621  0.923
O  0.406  0.396  0.075
O  0.406  0.604  0.575
O  0.421  0.113  0.585
O  0.421  0.887  0.085
O  0.579  0.113  0.915
O  0.579  0.887  0.415
O  0.594  0.396  0.425
O  0.594  0.604  0.925
O  0.745  0.379  0.077
O  0.745  0.621  0.577
O  0.755  0.121  0.577
O  0.755  0.879  0.077
O  0.906  0.104  0.925
O  0.906  0.896  0.425
O  0.921  0.387  0.415
O  0.921  0.613  0.915

Most intense lines, 2θ = 10–90°, in order of rising 2θ:
- 2θ 24.31, I = 27
- 2θ 30.17, I = 100
- 2θ 35.61, I = 13
- 2θ 35.97, I = 13
- 2θ 51.43, I = 13
- 2θ 52.98, I = 16
- 2θ 53.25, I = 20
- 2θ 60.63, I = 15

---

This entry pairs a crystal structure of La2Mg3CdPd2 with its computed X-ray diffraction stick pattern. Radiation: copper Kα. Structure: a DFT-relaxed cell (GGA-PBE, OQMD).
Lines closer than 0.1° are merged.

Cell lengths 5.636, 5.636, 8.401 Å; angles 90.13, 90.13, 45.25 degrees
Positions (direct):
La  0.000  0.000  0.000
La  0.122  0.122  0.497
Mg  0.408  0.408  0.696
Mg  0.712  0.712  0.804
Mg  0.718  0.718  0.198
Cd  0.419  0.419  0.301
Pd  0.282  0.282  0.997
Pd  0.834  0.834  0.508

Most intense lines, 2θ = 10–90°, in order of rising 2θ:
- 2θ 21.15, I = 46
- 2θ 22.21, I = 24
- 2θ 30.86, I = 95
- 2θ 34.80, I = 100
- 2θ 36.16, I = 40
- 2θ 39.27, I = 19
- 2θ 41.65, I = 32
- 2θ 43.07, I = 19